Starting from a crystal structure in the Materials Project, relaxed with PBE, the powder XRD pattern of Sr3SbN was calculated for Cu Kα, 1.54184 Å.
Kinematic intensities with the Lorentz-polarization factor, no thermal factor.

Structural model:
abc: 5.216 5.216 5.216
angles: 90.00 90.00 90.00
Space group Pm-3m (No. 221)
One atom of each set of equivalent atoms:
Sr1 0.000 0.000 0.500 (multiplicity 3)
Sb1 0.500 0.500 0.500 (multiplicity 1)
N1 0.000 0.000 0.000 (multiplicity 1)

Largest 10 diffraction maxima, sorted by position, 5° ≤ 2θ ≤ 70°:
d_spacing	two_theta	intensity	hkl
5.216	17.0	1	1 0 0
3.688	24.1	4	1 1 0
3.011	29.7	100	1 1 1
2.608	34.4	59	2 0 0
2.129	42.5	2	2 1 1
1.844	49.4	41	2 2 0
1.649	55.7	1	3 1 0
1.573	58.7	43	3 1 1
1.506	61.6	14	2 2 2
1.394	67.1	1	3 2 1